Starting from a PBE-relaxed structure, the PXRD pattern of Rb3Dy was simulated for Cu Kα.

Largest 12 diffraction maxima, low angle first, 2θ from 10° to 90°:
d/Å  I/Imax  (hkl)
3.932  22.6  2 0 0
3.733  26.7  0 0 2
3.479  100.0  2 0 1
2.708  17.1  2 0 2
2.270  20.3  2 2 0
2.103  24.5  2 0 3
1.940  25.2  2 2 2
1.901  17.6  4 0 1
1.543  8.9  4 0 3
1.458  14.5  4 2 1
1.442  9.6  2 2 4
1.276  9.3  4 2 3

Structure:
```
data_Rb3Dy
_chemical_formula_sum 'Rb6 Dy2'
_symmetry_space_group_name_H-M 'P 63/m m c'
_symmetry_Int_Tables_number 194
_symmetry_space_group_name_Hall '-P 6c 2c'
_cell_length_a 9.0816
_cell_length_b 9.0816
_cell_length_c 7.4668
_cell_angle_alpha 90.00
_cell_angle_beta 90.00
_cell_angle_gamma 120.00
loop_
_atom_site_label
_atom_site_fract_x
_atom_site_fract_y
_atom_site_fract_z
Rb1 0.1723 0.3446 0.2500
Dy1 0.3333 0.6667 0.7500
```